No. 1
This entry pairs a crystal structure of BaHgSe with its theoretical powder diffraction line list. Radiation: Cu Kα (weighted mean of Kα1 and Kα2). Structure: the PBE geometry in Alexandria.
Intensities are scaled so that the largest is 100.

Main lines, low angle first (2θ from 10° to 80°):
2θ/deg  Rel. int.
21.1  10
26.9  100
37.0  39
39.9  29
46.4  23
50.7  8
55.5  11
60.8  21
64.7  11
68.6  12

Unit cell a=4.855 b=4.855 c=5.366 alpha=90.00 beta=90.00 gamma=120.00
Element x y z (fractional)
Ba: 0.000 0.000 0.000
Hg: 0.667 0.333 0.407
Se: 0.333 0.667 0.708

=====

No. 2
This entry pairs a crystal structure of Pm3GaCo with its theoretical powder diffraction line list. Radiation: Cu Kα (weighted mean of Kα1 and Kα2). Structure: the PBE geometry in Alexandria.
Intensities are scaled so that the largest is 100.

Main lines, low angle first (2θ from 10° to 80°):
2θ/deg  Rel. int.
27.7  47
31.5  84
31.7  100
32.1  66
36.2  43
36.3  46
38.7  18
42.1  32
51.8  37
61.7  25

Unit cell a=6.063 b=6.063 c=8.582 alpha=111.18 beta=111.18 gamma=64.08
Element x y z (fractional)
Pm: 0.016 0.016 0.225
Pm: 0.296 0.296 0.667
Pm: 0.314 0.314 0.137
Pm: 0.686 0.686 0.863
Pm: 0.704 0.704 0.333
Pm: 0.984 0.984 0.775
Ga: 0.297 0.703 0.500
Ga: 0.703 0.297 0.500
Co: 0.319 0.681 0.000
Co: 0.681 0.319 0.000

=====

No. 3
This entry pairs a crystal structure of Li2GaAg2 with its theoretical powder diffraction line list. Radiation: Cu Kα (weighted mean of Kα1 and Kα2). Structure: the PBE geometry in Alexandria.
Intensities are scaled so that the largest is 100.

Main lines, low angle first (2θ from 10° to 80°):
2θ/deg  Rel. int.
20.8  56
29.0  19
29.6  27
39.7  100
40.6  24
40.9  23
46.1  13
59.0  15
73.3  15
73.7  15

Unit cell a=8.516 b=8.516 c=4.446 alpha=90.00 beta=90.00 gamma=149.98
Element x y z (fractional)
Li: 0.053 0.947 0.750
Li: 0.155 0.845 0.250
Li: 0.845 0.155 0.750
Li: 0.947 0.053 0.250
Ga: 0.351 0.649 0.250
Ga: 0.649 0.351 0.750
Ag: 0.248 0.752 0.750
Ag: 0.446 0.554 0.750
Ag: 0.554 0.446 0.250
Ag: 0.752 0.248 0.250

=====

No. 4
This entry pairs a crystal structure of Nd2DyHo2Sc with its theoretical powder diffraction line list. Radiation: Cu Kα (weighted mean of Kα1 and Kα2). Structure: the PBE geometry in Alexandria.
Intensities are scaled so that the largest is 100.

Main lines, low angle first (2θ from 10° to 80°):
2θ/deg  Rel. int.
28.6  25
31.7  24
32.8  100
43.2  16
50.7  19
57.2  20
61.0  22
61.7  16
73.7  4
79.9  7

Unit cell a=5.641 b=10.809 c=6.237 alpha=90.00 beta=90.00 gamma=90.00
Element x y z (fractional)
Nd: 0.000 0.081 0.000
Nd: 0.000 0.919 0.500
Nd: 0.500 0.258 0.169
Nd: 0.500 0.742 0.669
Dy: 0.000 0.257 0.508
Dy: 0.000 0.743 0.008
Ho: 0.000 0.423 0.992
Ho: 0.000 0.577 0.492
Ho: 0.500 0.089 0.667
Ho: 0.500 0.911 0.167
Sc: 0.500 0.420 0.666
Sc: 0.500 0.580 0.166

=====

No. 5
This entry pairs a crystal structure of Sm3NiGe3 with its theoretical powder diffraction line list. Radiation: Cu Kα (weighted mean of Kα1 and Kα2). Structure: the PBE geometry in Alexandria.
Intensities are scaled so that the largest is 100.

Main lines, low angle first (2θ from 10° to 80°):
2θ/deg  Rel. int.
32.3  54
32.5  45
32.7  100
33.2  41
37.1  24
39.9  52
40.8  23
41.9  48
54.4  23
64.2  21

Unit cell a=5.812 b=5.812 c=14.155 alpha=108.89 beta=108.89 gamma=43.60
Element x y z (fractional)
Sm: 0.032 0.032 0.383
Sm: 0.098 0.098 0.921
Sm: 0.248 0.248 0.230
Sm: 0.752 0.752 0.770
Sm: 0.902 0.902 0.079
Sm: 0.968 0.968 0.617
Ni: 0.253 0.253 0.603
Ni: 0.747 0.747 0.397
Ge: 0.352 0.352 0.458
Ge: 0.378 0.378 0.923
Ge: 0.454 0.454 0.762
Ge: 0.546 0.546 0.238
Ge: 0.622 0.622 0.077
Ge: 0.648 0.648 0.542

=====

No. 6
This entry pairs a crystal structure of BeReW with its theoretical powder diffraction line list. Radiation: Cu Kα (weighted mean of Kα1 and Kα2). Structure: the PBE geometry in Alexandria.
Intensities are scaled so that the largest is 100.

Main lines, low angle first (2θ from 10° to 80°):
2θ/deg  Rel. int.
22.0  12
31.4  19
38.3  24
40.2  100
50.3  12
50.6  13
65.2  10
70.0  8
70.5  19
71.0  18

Unit cell a=5.705 b=4.671 c=4.668 alpha=75.30 beta=52.37 gamma=52.32
Element x y z (fractional)
Be: 0.250 0.250 0.250
Be: 0.750 0.750 0.750
Re: 0.166 0.834 0.166
Re: 0.834 0.166 0.834
W: 0.336 0.336 0.664
W: 0.664 0.664 0.336

=====

No. 7
This entry pairs a crystal structure of RbSrMgI5 with its theoretical powder diffraction line list. Radiation: Cu Kα (weighted mean of Kα1 and Kα2). Structure: the PBE geometry in Alexandria.
Intensities are scaled so that the largest is 100.

Main lines, low angle first (2θ from 10° to 80°):
2θ/deg  Rel. int.
20.8  54
22.8  42
23.6  78
23.9  100
25.9  57
26.3  29
26.6  41
31.7  33
38.3  45
45.2  29

Unit cell a=8.852 b=8.852 c=11.754 alpha=104.40 beta=104.40 gamma=105.54
Element x y z (fractional)
Rb: 0.149 0.851 0.750
Rb: 0.851 0.149 0.250
Sr: 0.500 0.500 0.000
Sr: 0.500 0.500 0.500
Mg: 0.185 0.815 0.250
Mg: 0.815 0.185 0.750
I: 0.110 0.244 0.935
I: 0.165 0.585 0.371
I: 0.244 0.110 0.435
I: 0.407 0.593 0.750
I: 0.415 0.835 0.129
I: 0.585 0.165 0.871
I: 0.593 0.407 0.250
I: 0.756 0.890 0.565
I: 0.835 0.415 0.629
I: 0.890 0.756 0.065

=====

No. 8
This entry pairs a crystal structure of Ac4Cu3Au with its theoretical powder diffraction line list. Radiation: Cu Kα (weighted mean of Kα1 and Kα2). Structure: the PBE geometry in Alexandria.
Intensities are scaled so that the largest is 100.

Main lines, low angle first (2θ from 10° to 80°):
2θ/deg  Rel. int.
24.4  33
29.3  100
31.2  23
31.5  45
36.7  20
36.9  49
38.0  29
42.6  21
50.1  25
58.4  17

Unit cell a=4.247 b=4.738 c=11.453 alpha=90.00 beta=90.00 gamma=90.00
Element x y z (fractional)
Ac: 0.000 0.000 0.000
Ac: 0.000 0.500 0.275
Ac: 0.500 0.000 0.491
Ac: 0.500 0.500 0.777
Cu: 0.000 0.500 0.563
Cu: 0.500 0.000 0.199
Cu: 0.500 0.500 0.072
Au: 0.000 0.000 0.707